The following is a computed X-ray powder pattern of NaCd6Ag8. It was derived from a GGA-PBE-relaxed structure, using Cu Ka.

Crystal structure
```
data_NaCd6Ag8
_symmetry_space_group_name_H-M 'P 6/m m m'
_symmetry_Int_Tables_number 191
_symmetry_space_group_name_Hall '-P 6 2'
_cell_length_a 8.8110
_cell_length_b 8.8110
_cell_length_c 4.7877
_cell_angle_alpha 90.00
_cell_angle_beta 90.00
_cell_angle_gamma 120.00
loop_
_atom_site_label
_atom_site_fract_x
_atom_site_fract_y
_atom_site_fract_z
Na1 0.0000 0.0000 0.0000
Cd1 0.2140 0.4279 0.0000
Ag1 0.0000 0.3286 0.5000
Ag2 0.3333 0.6667 0.5000
```

Top 10 peaks for 15° ≤ 2θ ≤ 90°, low angle first:
d [Å], intensity, hkl
3.815, 21.0, 2 0 0
2.884, 13.1, 2 1 0
2.544, 16.9, 3 0 0
2.470, 53.7, 2 1 1
2.394, 35.8, 0 0 2
2.246, 100.0, 3 0 1
1.468, 20.2, 3 3 0
1.352, 18.3, 3 0 3
1.252, 23.4, 3 3 2
1.229, 12.6, 6 0 1